Simulated powder diffraction line list of CoTcO4 for copper Kα, from a DFT-relaxed cell (PBE+U, Alexandria).

Top 8 peaks for 2θ from 10° to 90°, low angle first:
two_theta, intensity
19.4, 100
31.7, 40
32.4, 11
36.8, 8
38.1, 18
49.8, 15
55.9, 9
57.4, 13

Cell and atoms:
```
CoTcO4
1.0
-2.7598 2.7598 4.0917
2.7598 -2.7598 4.0917
2.7598 2.7598 -4.0917
Co Tc O
1 1 4
direct
0.0000 0.0000 0.0000
0.7500 0.2500 0.5000
0.0048 0.6075 0.8554
0.3925 0.2479 0.3972
0.7521 0.1493 0.1446
0.8507 0.9952 0.6028
```